Calculated powder X-ray diffraction pattern of ErInI6 for CuKα, from a DFT-relaxed cell (GGA-PBE, OQMD).
Lines closer than 0.1° are merged.

Main lines, by angle (2θ = 15–90°):
15.87°, d 5.583, intensity 12, hkl 1 1 -1
23.93°, d 3.718, intensity 16, hkl 2 0 -1
24.58°, d 3.622, intensity 16, hkl 0 0 2
24.97°, d 3.566, intensity 43, hkl 1 3 -1
28.73°, d 3.107, intensity 100, hkl 1 3 1
28.93°, d 3.086, intensity 49, hkl 2 0 -2
40.76°, d 2.214, intensity 19, hkl 2 0 2
41.01°, d 2.201, intensity 37, hkl 1 3 -3
41.43°, d 2.179, intensity 53, hkl 0 6 0
50.38°, d 1.811, intensity 12, hkl 0 0 4
51.11°, d 1.787, intensity 11, hkl 4 0 0
51.30°, d 1.781, intensity 18, hkl 2 6 -2

Structure:
Unit cell a=7.5455 b=13.0837 c=7.6480 alpha=90.00 beta=108.71 gamma=90.00
Space group C2 (No. 5)
One atom of each set of equivalent atoms:
Er  0.0000  0.0000  0.0000 [2 per cell]
In  0.0000  0.3319  0.0000 [2 per cell]
I  0.2224  0.1685  0.2432 [4 per cell]
I  0.2428  0.3412  0.7620 [4 per cell]
I  0.2495  0.4881  0.2388 [4 per cell]